No. 1
Computed X-ray diffraction stick pattern
Compound: Cs3Ca2Cl3F4
Radiation: CuKα
Structure: a crystal structure in Alexandria, relaxed with GGA-PBE

Largest 12 diffraction maxima, in order of rising 2θ, 10° ≤ 2θ ≤ 80°:
Position (°2θ)  I (rel.)  h k l
23.33  809  0 1 5
25.49  1000  1 1 0
25.91  912  1 0 5
28.90  475  1 1 4
32.56  605  0 2 0
32.70  588  1 1 6
33.89  475  0 0 10
39.85  335  2 0 0
42.07  488  1 2 5
42.88  451  1 1 10
47.70  340  0 2 10
63.85  296  2 2 10

Cell and atoms:
```
data_Cs3Ca2Cl3F4
_chemical_formula_sum 'Cs6 Ca4 Cl6 F8'
_symmetry_space_group_name_H-M 'I m m m'
_symmetry_Int_Tables_number 71
_symmetry_space_group_name_Hall '-I 2 2'
_cell_length_a 4.5241
_cell_length_b 5.5005
_cell_length_c 26.4501
_cell_angle_alpha 90.00
_cell_angle_beta 90.00
_cell_angle_gamma 90.00
loop_
_atom_site_label
_atom_site_type_symbol
_atom_site_fract_x
_atom_site_fract_y
_atom_site_fract_z
Cs1 Cs 0.0000 0.0000 0.0000
Cs2 Cs 0.0000 0.0000 0.1963
Ca1 Ca 0.0000 0.0000 0.3892
Cl1 Cl 0.0000 0.0000 0.5000
Cl2 Cl 0.0000 0.5000 0.3982
F1 F 0.0000 0.0000 0.3054
F2 F 0.0000 0.5000 0.1129
```


No. 2
Computed X-ray diffraction stick pattern
Compound: Tb2Er6Zn
Radiation: CuKα
Structure: a crystal structure in Alexandria, relaxed with GGA-PBE

Largest 12 diffraction maxima, in order of rising 2θ, 10° ≤ 2θ ≤ 80°:
Position (°2θ)  I (rel.)  h k l
31.52  433  1 0 -4
32.23  1000  1 3 -1
32.33  365  0 2 3
32.86  770  1 1 2
33.46  208  1 3 -2
33.78  589  2 0 -2
38.48  195  0 3 3
47.42  168  2 2 1
47.48  126  2 2 -5
52.13  198  2 3 -5
59.45  218  3 3 -3
59.85  144  3 1 0

Cell and atoms:
```
data_Tb2Er6Zn
_chemical_formula_sum 'Tb4 Er12 Zn2'
_symmetry_space_group_name_H-M 'P 1 21/c 1'
_symmetry_Int_Tables_number 14
_cell_length_a 5.3062
_cell_length_b 9.7795
_cell_length_c 11.3856
_cell_angle_alpha 90.00
_cell_angle_beta 117.73
_cell_angle_gamma 90.00
loop_
_symmetry_equiv_pos_as_xyz
'x,y,z'
'-x,-y,-z'
'-x,y+1/2,-z+1/2'
'x,-y+1/2,z+1/2'
loop_
_atom_site_label
_atom_site_type_symbol
_atom_site_fract_x
_atom_site_fract_y
_atom_site_fract_z
Tb1 Tb 0.2359 0.1985 0.2357
Er1 Er 0.1104 0.6306 0.6105
Er2 Er 0.1849 0.5250 0.1847
Er3 Er 0.4382 0.6855 0.9386
Zn1 Zn 0.5000 0.0000 0.0000
```


No. 3
Computed X-ray diffraction stick pattern
Compound: YVP2Cl
Radiation: CuKα
Structure: a crystal structure in Alexandria, relaxed with GGA-PBE

Largest 12 diffraction maxima, in order of rising 2θ, 10° ≤ 2θ ≤ 80°:
Position (°2θ)  I (rel.)  h k l
27.07  1000  1 0 1
27.40  589  1 1 0
33.45  983  1 1 1
38.16  500  0 0 2
39.13  928  2 0 0
47.62  243  1 1 2
48.23  404  2 1 1
55.81  612  2 0 2
56.54  294  2 2 0
65.99  125  1 1 3
67.31  235  3 1 1
70.27  297  2 2 2

Cell and atoms:
```
data_YVP2Cl
_chemical_formula_sum 'Y1 V1 P2 Cl1'
_symmetry_space_group_name_H-M 'P 4/m m m'
_symmetry_Int_Tables_number 123
_symmetry_space_group_name_Hall '-P 4 2'
_cell_length_a 4.6038
_cell_length_b 4.6038
_cell_length_c 4.7163
_cell_angle_alpha 90.00
_cell_angle_beta 90.00
_cell_angle_gamma 90.00
loop_
_atom_site_label
_atom_site_type_symbol
_atom_site_fract_x
_atom_site_fract_y
_atom_site_fract_z
Y1 Y 0.0000 0.0000 0.0000
V1 V 0.5000 0.5000 0.5000
P1 P 0.0000 0.5000 0.5000
Cl1 Cl 0.5000 0.5000 0.0000
```


No. 4
Computed X-ray diffraction stick pattern
Compound: AlGaHg
Radiation: CuKα
Structure: a crystal structure in Alexandria, relaxed with GGA-PBE

Largest 12 diffraction maxima, in order of rising 2θ, 10° ≤ 2θ ≤ 80°:
Position (°2θ)  I (rel.)  h k l
14.55  417  0 0 1
29.35  124  0 0 2
30.30  270  1 0 0
33.77  1000  1 0 1
42.69  485  0 1 2
44.67  115  0 0 3
53.83  205  1 1 0
54.93  112  1 0 3
65.07  152  0 2 1
69.51  132  1 0 4
71.02  109  2 0 2
72.46  165  1 1 3

Cell and atoms:
```
data_AlGaHg
_chemical_formula_sum 'Al1 Ga1 Hg1'
_symmetry_space_group_name_H-M 'P 3 m 1'
_symmetry_Int_Tables_number 156
_cell_length_a 3.4060
_cell_length_b 3.4060
_cell_length_c 6.0863
_cell_angle_alpha 90.00
_cell_angle_beta 90.00
_cell_angle_gamma 120.00
loop_
_symmetry_equiv_pos_as_xyz
'x,y,z'
'-y,x-y,z'
'-x+y,-x,z'
'-y,-x,z'
'-x+y,y,z'
'x,x-y,z'
loop_
_atom_site_label
_atom_site_type_symbol
_atom_site_fract_x
_atom_site_fract_y
_atom_site_fract_z
Al1 Al 0.0000 0.0000 0.0000
Ga1 Ga 0.3333 0.6667 0.6921
Hg1 Hg 0.6667 0.3333 0.3382
```


No. 5
Computed X-ray diffraction stick pattern
Compound: PuAg2PdO4
Radiation: CuKα
Structure: a crystal structure in Alexandria, relaxed with GGA-PBE

Largest 12 diffraction maxima, in order of rising 2θ, 10° ≤ 2θ ≤ 80°:
Position (°2θ)  I (rel.)  h k l
14.51  332  0 1 0
19.88  269  1 1 0
27.11  702  0 0 2
31.01  414  2 1 0
32.34  545  0 2 1
33.92  1000  2 1 1
41.65  239  2 1 2
42.76  243  2 2 1
46.74  150  0 3 1
52.43  225  2 1 3
52.99  145  2 3 0
60.53  151  2 3 2

Cell and atoms:
```
data_PuAg2PdO4
_chemical_formula_sum 'Pu2 Ag4 Pd2 O8'
_symmetry_space_group_name_H-M 'P m n 21'
_symmetry_Int_Tables_number 31
_cell_length_a 6.5456
_cell_length_b 6.1033
_cell_length_c 6.5776
_cell_angle_alpha 90.00
_cell_angle_beta 90.00
_cell_angle_gamma 90.00
loop_
_symmetry_equiv_pos_as_xyz
'x,y,z'
'-x+1/2,-y,z+1/2'
'-x,y,z'
'x+1/2,-y,z+1/2'
loop_
_atom_site_label
_atom_site_type_symbol
_atom_site_fract_x
_atom_site_fract_y
_atom_site_fract_z
Pu1 Pu 0.0000 0.1369 0.0000
Ag1 Ag 0.2116 0.2986 0.4407
Pd1 Pd 0.0000 0.9027 0.4384
O1 O 0.0000 0.8316 0.1399
O2 O 0.0000 0.9683 0.7328
O3 O 0.2291 0.3496 0.9763
```


No. 6
Computed X-ray diffraction stick pattern
Compound: Pr3Ho4Pu
Radiation: CuKα
Structure: a crystal structure in Alexandria, relaxed with GGA-PBE

Largest 12 diffraction maxima, in order of rising 2θ, 10° ≤ 2θ ≤ 80°:
Position (°2θ)  I (rel.)  h k l
26.69  237  1 0 1
30.28  582  1 1 2
30.58  569  0 4 0
30.83  183  1 2 1
31.58  1000  0 2 4
36.67  389  1 2 3
37.44  335  1 3 2
41.03  153  1 4 1
49.09  152  1 5 2
54.99  212  0 6 4
62.41  151  2 4 0
62.99  280  2 2 4

Cell and atoms:
```
data_Pr3Ho4Pu
_chemical_formula_sum 'Pr6 Ho8 Pu2'
_symmetry_space_group_name_H-M 'I m m m'
_symmetry_Int_Tables_number 71
_symmetry_space_group_name_Hall '-I 2 2'
_cell_length_a 3.4575
_cell_length_b 11.6934
_cell_length_c 12.9546
_cell_angle_alpha 90.00
_cell_angle_beta 90.00
_cell_angle_gamma 90.00
loop_
_atom_site_label
_atom_site_type_symbol
_atom_site_fract_x
_atom_site_fract_y
_atom_site_fract_z
Pr1 Pr 0.0000 0.0000 0.0000
Pr2 Pr 0.0000 0.5000 0.2353
Ho1 Ho 0.0000 0.2474 0.3677
Pu1 Pu 0.0000 0.0000 0.5000
```


No. 7
Computed X-ray diffraction stick pattern
Compound: PmNdTm3Th
Radiation: CuKα
Structure: a crystal structure in Alexandria, relaxed with GGA-PBE

Largest 12 diffraction maxima, in order of rising 2θ, 10° ≤ 2θ ≤ 80°:
Position (°2θ)  I (rel.)  h k l
25.23  195  0 0 2
30.23  173  1 1 -2
30.27  115  1 1 2
30.59  1000  5 1 1
31.25  181  4 0 2
31.90  511  0 2 0
32.97  498  3 1 -2
35.89  219  7 1 0
41.10  110  0 2 2
56.03  185  5 3 1
57.45  125  10 2 0
62.13  115  0 2 4

Cell and atoms:
```
data_PmNdTm3Th
_chemical_formula_sum 'Pm4 Nd4 Tm12 Th4'
_symmetry_space_group_name_H-M 'C 1 2/m 1'
_symmetry_Int_Tables_number 12
_cell_length_a 19.5703
_cell_length_b 5.6113
_cell_length_c 7.0596
_cell_angle_alpha 90.00
_cell_angle_beta 90.16
_cell_angle_gamma 90.00
loop_
_symmetry_equiv_pos_as_xyz
'x,y,z'
'-x,-y,-z'
'-x,y,-z'
'x,-y,z'
'x+1/2,y+1/2,z'
'-x+1/2,-y+1/2,-z'
'-x+1/2,y+1/2,-z'
'x+1/2,-y+1/2,z'
loop_
_atom_site_label
_atom_site_type_symbol
_atom_site_fract_x
_atom_site_fract_y
_atom_site_fract_z
Pm1 Pm 0.1485 0.0000 0.0386
Nd1 Nd 0.1471 0.0000 0.4593
Tm1 Tm 0.0237 0.0000 0.7521
Tm2 Tm 0.1575 0.5000 0.7528
Tm3 Tm 0.2214 0.5000 0.2520
Th1 Th 0.0533 0.5000 0.2417
```


No. 8
Computed X-ray diffraction stick pattern
Compound: PmY2Sc3
Radiation: CuKα
Structure: a crystal structure in Alexandria, relaxed with GGA-PBE

Largest 12 diffraction maxima, in order of rising 2θ, 10° ≤ 2θ ≤ 80°:
Position (°2θ)  I (rel.)  h k l
16.06  609  0 0 3
30.67  581  1 1 1
31.15  992  2 0 1
32.44  1000  0 0 6
33.17  532  2 0 2
34.95  439  2 0 -4
35.95  257  2 0 3
38.14  387  1 1 4
39.34  289  1 1 -5
52.20  219  2 0 7
52.87  469  0 2 0
63.42  577  3 1 5

Cell and atoms:
```
data_PmY2Sc3
_chemical_formula_sum 'Pm2 Y4 Sc6'
_symmetry_space_group_name_H-M 'P 1 21/m 1'
_symmetry_Int_Tables_number 11
_cell_length_a 5.9955
_cell_length_b 3.4649
_cell_length_c 16.6731
_cell_angle_alpha 90.00
_cell_angle_beta 96.88
_cell_angle_gamma 90.00
loop_
_symmetry_equiv_pos_as_xyz
'x,y,z'
'-x,-y,-z'
'-x,y+1/2,-z'
'x,-y+1/2,z'
loop_
_atom_site_label
_atom_site_type_symbol
_atom_site_fract_x
_atom_site_fract_y
_atom_site_fract_z
Pm1 Pm 0.0277 0.2500 0.3325
Y1 Y 0.2502 0.2500 0.0004
Y2 Y 0.4727 0.2500 0.6667
Sc1 Sc 0.1387 0.7500 0.1660
Sc2 Sc 0.2506 0.7500 0.5001
Sc3 Sc 0.3612 0.7500 0.8337
```